# Hf3CoNi
Theoretical powder X-ray diffraction pattern, Cu Kα X-rays. Input: a DFT-relaxed cell (GGA-PBE, Alexandria).

Cell and atoms:
Cell lengths 5.266, 5.266, 7.934 Å; angles 112.39, 112.39, 62.73 degrees
Atoms (fractional coordinates):
Hf1 0.009 0.009 0.259
Hf2 0.300 0.300 0.133
Hf3 0.302 0.302 0.672
Hf4 0.698 0.698 0.328
Hf5 0.700 0.700 0.867
Hf6 0.991 0.991 0.741
Co1 0.267 0.733 0.000
Co2 0.733 0.267 0.000
Ni1 0.291 0.709 0.500
Ni2 0.709 0.291 0.500

Top 8 peaks for 15 to 90 degrees two-theta, most intense first:
Position (°2θ)	intensity
35.67	100
35.84	93
41.59	91
37.32	74
32.67	46
45.75	41
60.28	30
61.39	25